# 1
Structure and simulated powder X-ray diffraction pattern of Ba2Ti2Fe2As4O (a structure optimized by DFT (GGA+U); λ = 1.5418 Å (Cu Kα)).

Largest 10 diffraction maxima, low angle first, 2θ from 15° to 90°:
| d/Å | I_rel |
| --- | --- |
| 3.338 | 39.9 |
| 2.904 | 100.0 |
| 2.892 | 32.4 |
| 2.685 | 69.9 |
| 2.524 | 31.8 |
| 2.045 | 53.5 |
| 1.850 | 33.8 |
| 1.672 | 37.6 |
| 1.446 | 16.8 |
| 1.353 | 23.9 |

Crystal structure
Cell lengths 14.723, 14.723, 14.723 Å; angles 164.03, 164.03, 22.66 degrees
Sites, in units of the cell vectors:
1 Ba 0.128 0.128 0.000
2 Ba 0.872 0.872 0.000
3 Ti 0.000 0.500 0.500
4 Ti 0.500 0.000 0.500
5 Fe 0.250 0.750 0.500
6 Fe 0.750 0.250 0.500
7 As 0.306 0.306 0.000
8 As 0.438 0.438 0.000
9 As 0.562 0.562 0.000
10 As 0.694 0.694 0.000
11 O 0.000 0.000 0.000

# 2
Structure and simulated powder X-ray diffraction pattern of Li9Mn2Co5O16 (a structure optimized by DFT (GGA+U); λ = 1.5418 Å (Cu Kα)).

Largest 10 diffraction maxima, low angle first, 2θ from 15° to 90°:
| d/Å | I_rel |
| --- | --- |
| 4.855 | 100.0 |
| 2.518 | 15.1 |
| 2.482 | 25.0 |
| 2.097 | 27.2 |
| 2.069 | 54.4 |
| 1.909 | 9.0 |
| 1.602 | 9.6 |
| 1.478 | 22.0 |
| 1.468 | 14.0 |
| 1.449 | 7.6 |

Crystal structure
Cell lengths 9.859, 9.859, 10.215 Å; angles 95.31, 95.31, 16.90 degrees
Sites, in units of the cell vectors:
1 Li 0.000 0.000 0.000
2 Li 0.256 0.256 0.370
3 Li 0.260 0.260 0.870
4 Li 0.376 0.376 0.555
5 Li 0.498 0.498 0.742
6 Li 0.500 0.500 0.243
7 Li 0.753 0.753 0.121
8 Li 0.761 0.761 0.612
9 Li 0.994 0.994 0.499
10 Mn 0.130 0.130 0.680
11 Mn 0.875 0.875 0.313
12 Co 0.125 0.125 0.184
13 Co 0.377 0.377 0.051
14 Co 0.626 0.626 0.424
15 Co 0.628 0.628 0.934
16 Co 0.882 0.882 0.788
17 O 0.066 0.066 0.342
18 O 0.078 0.078 0.838
19 O 0.182 0.182 0.529
20 O 0.183 0.183 0.018
21 O 0.321 0.321 0.220
22 O 0.321 0.321 0.721
23 O 0.432 0.432 0.389
24 O 0.435 0.435 0.899
25 O 0.568 0.568 0.091
26 O 0.573 0.573 0.603
27 O 0.684 0.684 0.268
28 O 0.685 0.685 0.761
29 O 0.819 0.819 0.448
30 O 0.819 0.819 0.971
31 O 0.931 0.931 0.153
32 O 0.940 0.940 0.659

# 3
Structure and simulated powder X-ray diffraction pattern of La3Mo2O10 (a structure optimized by DFT (GGA+U); λ = 1.5418 Å (Cu Kα)).

Largest 10 diffraction maxima, low angle first, 2θ from 15° to 90°:
| d/Å | I_rel |
| --- | --- |
| 3.416 | 92.9 |
| 3.369 | 100.0 |
| 3.119 | 73.5 |
| 3.015 | 68.1 |
| 2.868 | 31.6 |
| 2.832 | 39.7 |
| 2.669 | 27.8 |
| 2.118 | 31.0 |
| 2.035 | 23.9 |
| 1.978 | 29.7 |

Crystal structure
Cell lengths 5.668, 6.300, 7.321 Å; angles 79.21, 67.30, 65.53 degrees
Sites, in units of the cell vectors:
1 La 0.000 0.000 0.000
2 La 0.218 0.396 0.194
3 La 0.615 0.163 0.606
4 Mo 0.441 0.805 0.314
5 Mo 0.775 0.584 0.792
6 O 0.068 0.063 0.315
7 O 0.094 0.352 0.876
8 O 0.400 0.559 0.470
9 O 0.423 0.713 0.080
10 O 0.468 0.834 0.723
11 O 0.526 0.086 0.326
12 O 0.629 0.322 0.894
13 O 0.837 0.696 0.173
14 O 0.900 0.824 0.771
15 O 0.918 0.466 0.551

# 4
Structure and simulated powder X-ray diffraction pattern of Li9Mn2Co5O16 (a structure optimized by DFT (GGA+U); λ = 1.5418 Å (Cu Kα)).

Largest 10 diffraction maxima, low angle first, 2θ from 15° to 90°:
| d/Å | I_rel |
| --- | --- |
| 4.835 | 100.0 |
| 2.570 | 17.2 |
| 2.492 | 13.4 |
| 2.453 | 12.3 |
| 2.150 | 31.7 |
| 2.065 | 27.2 |
| 2.034 | 26.2 |
| 1.493 | 8.0 |
| 1.471 | 7.8 |
| 1.440 | 9.2 |

Crystal structure
Cell lengths 2.947, 10.151, 10.647 Å; angles 113.90, 94.97, 92.44 degrees
Sites, in units of the cell vectors:
1 Li 0.000 0.000 0.000
2 Li 0.008 0.494 0.998
3 Li 0.247 0.359 0.485
4 Li 0.260 0.868 0.499
5 Li 0.510 0.742 0.998
6 Li 0.519 0.249 0.001
7 Li 0.650 0.183 0.256
8 Li 0.740 0.122 0.491
9 Li 0.755 0.616 0.494
10 Mn 0.121 0.936 0.247
11 Mn 0.880 0.057 0.748
12 Co 0.137 0.422 0.245
13 Co 0.376 0.305 0.742
14 Co 0.385 0.807 0.750
15 Co 0.618 0.678 0.243
16 Co 0.880 0.556 0.746
17 O 0.037 0.719 0.134
18 O 0.074 0.240 0.133
19 O 0.191 0.129 0.363
20 O 0.208 0.637 0.355
21 O 0.281 0.087 0.627
22 O 0.315 0.590 0.633
23 O 0.446 0.524 0.861
24 O 0.479 0.024 0.870
25 O 0.555 0.473 0.135
26 O 0.588 0.957 0.137
27 O 0.652 0.890 0.351
28 O 0.725 0.406 0.363
29 O 0.809 0.338 0.630
30 O 0.814 0.840 0.632
31 O 0.945 0.273 0.860
32 O 0.949 0.775 0.863

# 5
Structure and simulated powder X-ray diffraction pattern of VO2F3 (a structure optimized by DFT (GGA+U); λ = 1.5418 Å (Cu Kα)).

Largest 10 diffraction maxima, low angle first, 2θ from 15° to 90°:
| d/Å | I_rel |
| --- | --- |
| 4.921 | 68.1 |
| 4.378 | 100.0 |
| 3.499 | 28.7 |
| 3.459 | 61.2 |
| 2.724 | 30.1 |
| 2.189 | 15.9 |
| 1.936 | 13.9 |
| 1.896 | 21.6 |
| 1.785 | 8.4 |
| 1.734 | 22.4 |

Crystal structure
Cell lengths 5.414, 9.841, 7.302 Å; angles 90.00, 106.57, 90.00 degrees
Sites, in units of the cell vectors:
1 V 0.000 0.000 0.000
2 V 0.000 0.500 0.500
3 V 0.500 0.000 0.500
4 V 0.500 0.500 0.000
5 O 0.155 0.137 0.905
6 O 0.155 0.363 0.405
7 O 0.223 0.621 0.446
8 O 0.223 0.879 0.946
9 O 0.777 0.121 0.054
10 O 0.777 0.379 0.554
11 O 0.845 0.637 0.595
12 O 0.845 0.863 0.095
13 F 0.243 0.031 0.265
14 F 0.243 0.469 0.765
15 F 0.288 0.613 0.075
16 F 0.288 0.887 0.575
17 F 0.378 0.139 0.607
18 F 0.378 0.361 0.107
19 F 0.622 0.639 0.893
20 F 0.622 0.861 0.393
21 F 0.712 0.113 0.425
22 F 0.712 0.387 0.925
23 F 0.757 0.531 0.235
24 F 0.757 0.969 0.735

# 6
Structure and simulated powder X-ray diffraction pattern of KSrSmFeO6 (a structure optimized by DFT (GGA+U); λ = 1.5418 Å (Cu Kα)).

Largest 10 diffraction maxima, low angle first, 2θ from 15° to 90°:
| d/Å | I_rel |
| --- | --- |
| 4.782 | 17.3 |
| 4.142 | 17.5 |
| 2.929 | 100.0 |
| 2.498 | 15.4 |
| 2.071 | 35.1 |
| 1.900 | 9.3 |
| 1.691 | 37.9 |
| 1.464 | 20.4 |
| 1.310 | 17.5 |
| 1.107 | 20.7 |

Crystal structure
Cell lengths 5.857, 5.857, 5.857 Å; angles 60.00, 60.00, 60.00 degrees
Sites, in units of the cell vectors:
1 K 0.000 0.000 0.000
2 Sr 0.500 0.500 0.500
3 Sm 0.250 0.250 0.250
4 Fe 0.750 0.750 0.750
5 O 0.524 0.524 0.976
6 O 0.524 0.976 0.524
7 O 0.524 0.976 0.976
8 O 0.976 0.524 0.524
9 O 0.976 0.524 0.976
10 O 0.976 0.976 0.524

# 7
Structure and simulated powder X-ray diffraction pattern of YCoW2O8 (a structure optimized by DFT (GGA+U); λ = 1.5418 Å (Cu Kα)).

Largest 10 diffraction maxima, low angle first, 2θ from 15° to 90°:
| d/Å | I_rel |
| --- | --- |
| 4.968 | 37.2 |
| 3.893 | 31.2 |
| 3.800 | 57.9 |
| 3.134 | 100.0 |
| 2.999 | 86.4 |
| 2.590 | 30.2 |
| 2.563 | 39.7 |
| 1.828 | 26.9 |
| 1.811 | 21.5 |
| 1.758 | 23.3 |

Crystal structure
Cell lengths 5.190, 5.899, 9.955 Å; angles 90.00, 93.45, 90.00 degrees
Sites, in units of the cell vectors:
1 Y 0.000 0.000 0.000
2 Y 0.500 0.323 0.500
3 Co 0.000 0.941 0.500
4 Co 0.500 0.345 0.000
5 W 0.001 0.510 0.758
6 W 0.496 0.841 0.252
7 W 0.504 0.841 0.748
8 W 0.999 0.510 0.242
9 O 0.141 0.296 0.359
10 O 0.157 0.322 0.889
11 O 0.173 0.791 0.847
12 O 0.196 0.759 0.361
13 O 0.300 0.581 0.139
14 O 0.308 0.559 0.654
15 O 0.327 0.030 0.609
16 O 0.377 0.062 0.127
17 O 0.623 0.062 0.873
18 O 0.673 0.030 0.391
19 O 0.692 0.559 0.346
20 O 0.700 0.581 0.861
21 O 0.804 0.759 0.639
22 O 0.827 0.791 0.153
23 O 0.843 0.322 0.111
24 O 0.859 0.296 0.641